[1]
TeMo2SeS2: theoretical powder diffractogram (λ = 1.5418 Å (Cu Kα)), based on DFT lattice parameters and positions (GGA-PBE).
No peak broadening, texture or thermal motion is included.

Most intense lines, 10 to 90 degrees two-theta, low angle first:
2theta, I/Imax
11.8, 100
14.1, 20
31.2, 51
36.7, 93
44.5, 49
55.6, 34

Cell and atoms:
```
TeMo2SeS2
1.0
3.3091 0.0000 0.0000
-1.6546 2.8658 0.0000
0.0000 0.0000 37.5838
Te Mo Se S
2 4 2 4
direct
0.0000 0.0000 0.0000
0.0000 0.0000 0.1016
0.0000 0.0000 0.4871
0.0000 0.0000 0.8629
0.3333 0.6667 0.0508
0.3333 0.6667 0.6750
0.3333 0.6667 0.8182
0.3333 0.6667 0.9075
0.0000 0.0000 0.6343
0.0000 0.0000 0.7157
0.3333 0.6667 0.4465
0.3333 0.6667 0.5278
```

=====

[2]
MgCo4S8: theoretical powder diffractogram (λ = 1.5418 Å (Cu Kα)), based on DFT lattice parameters and positions (GGA-PBE).
No peak broadening, texture or thermal motion is included.

Most intense lines, 10 to 90 degrees two-theta, low angle first:
2theta, I/Imax
11.9, 100
23.9, 41
33.3, 15
33.7, 14
34.7, 18
36.3, 17

Cell and atoms:
```
MgCo4S8
1.0
5.3430 0.0000 0.0000
0.0106 5.3788 0.0000
0.7184 0.2291 7.4312
Mg Co S
1 4 8
direct
0.0000 0.0000 0.0000
0.2663 0.2827 0.7234
0.3012 0.7977 0.3714
0.7517 0.7853 0.7208
0.8133 0.2978 0.3693
0.1510 0.8994 0.6605
0.1901 0.1668 0.2740
0.3683 0.6482 0.8289
0.4226 0.4130 0.4291
0.6200 0.1494 0.8234
0.6801 0.9130 0.4288
0.8864 0.4030 0.6651
0.9414 0.6721 0.2677
```

=====

[3]
Ca4RuN4: theoretical powder diffractogram (λ = 1.5418 Å (Cu Kα)), based on DFT lattice parameters and positions (GGA-PBE).
No peak broadening, texture or thermal motion is included.

Most intense lines, 10 to 90 degrees two-theta, low angle first:
2theta, I/Imax
14.0, 57
16.5, 55
29.7, 77
30.3, 100
33.3, 54
39.2, 82

Cell and atoms:
```
Ca4RuN4
1.0
11.5276 0.0000 0.0000
0.0000 3.5263 0.0000
0.0000 0.0000 15.1593
Ca Ru N
16 4 16
direct
0.0136 0.2500 0.1840
0.1220 0.2500 0.5576
0.1275 0.2500 0.9819
0.2418 0.7500 0.2689
0.2582 0.2500 0.7689
0.3725 0.7500 0.4819
0.3780 0.7500 0.0576
0.4864 0.7500 0.6840
0.5136 0.2500 0.3160
0.6220 0.2500 0.9424
0.6275 0.2500 0.5181
0.7418 0.7500 0.2311
0.7582 0.2500 0.7311
0.8725 0.7500 0.0181
0.8780 0.7500 0.4424
0.9864 0.7500 0.8160
0.0693 0.2500 0.3691
0.4307 0.7500 0.8691
0.5693 0.2500 0.1309
0.9307 0.7500 0.6309
0.0556 0.7500 0.0798
0.1605 0.7500 0.1203
0.1787 0.7500 0.8671
0.2246 0.2500 0.4140
0.2754 0.7500 0.9140
0.3213 0.2500 0.3671
0.3395 0.2500 0.6203
0.4444 0.2500 0.5798
0.5556 0.7500 0.4202
0.6605 0.7500 0.3797
0.6787 0.7500 0.6329
0.7246 0.2500 0.0860
0.7754 0.7500 0.5860
0.8213 0.2500 0.1329
0.8395 0.2500 0.8797
0.9444 0.2500 0.9202
```

=====

[4]
CaIrO3: theoretical powder diffractogram (λ = 1.5418 Å (Cu Kα)), based on DFT lattice parameters and positions (GGA-PBE).
No peak broadening, texture or thermal motion is included.

Most intense lines, 10 to 90 degrees two-theta, low angle first:
2theta, I/Imax
18.0, 84
29.2, 71
30.2, 100
38.2, 53
39.2, 46
46.5, 53

Cell and atoms:
```
CaIrO3
1.0
1.6078 -4.9334 0.0000
1.6078 4.9334 0.0000
0.0000 0.0000 7.3836
Ca Ir O
2 2 6
direct
0.2496 0.7504 0.7500
0.7504 0.2496 0.2500
0.0000 0.0000 0.0000
0.0000 0.0000 0.5000
0.0783 0.9217 0.2500
0.3746 0.6254 0.0497
0.3746 0.6254 0.4503
0.6254 0.3746 0.5497
0.6254 0.3746 0.9503
0.9217 0.0783 0.7500
```

=====

[5]
ThRe4Si2: theoretical powder diffractogram (λ = 1.5418 Å (Cu Kα)), based on DFT lattice parameters and positions (GGA-PBE).
No peak broadening, texture or thermal motion is included.

Most intense lines, 10 to 90 degrees two-theta, low angle first:
2theta, I/Imax
13.4, 70
33.7, 94
34.6, 100
37.0, 81
38.0, 63
43.4, 83

Cell and atoms:
```
ThRe4Si2
1.0
7.2846 0.0000 0.0000
0.0000 15.6586 0.0000
0.0000 0.0000 4.1727
Th Re Si
4 16 8
direct
0.0851 0.1181 0.0000
0.4149 0.6181 0.5000
0.5851 0.3819 0.5000
0.9149 0.8819 0.0000
0.0042 0.7057 0.5000
0.0706 0.5809 0.0000
0.1425 0.4492 0.5000
0.2387 0.3217 0.0000
0.2613 0.8217 0.5000
0.3575 0.9492 0.0000
0.4294 0.0809 0.5000
0.4958 0.2057 0.0000
0.5042 0.7943 0.0000
0.5706 0.9191 0.5000
0.6425 0.0508 0.0000
0.7387 0.1783 0.5000
0.7613 0.6783 0.0000
0.8575 0.5508 0.5000
0.9294 0.4191 0.0000
0.9958 0.2943 0.5000
0.1713 0.9754 0.5000
0.1982 0.7276 0.0000
0.3018 0.2276 0.5000
0.3287 0.4754 0.0000
0.6713 0.5246 0.0000
0.6982 0.7724 0.5000
0.8018 0.2724 0.0000
0.8287 0.0246 0.5000
```

=====

[6]
HfAsRu: theoretical powder diffractogram (λ = 1.5418 Å (Cu Kα)), based on DFT lattice parameters and positions (GGA-PBE).
No peak broadening, texture or thermal motion is included.

Most intense lines, 10 to 90 degrees two-theta, low angle first:
2theta, I/Imax
35.6, 45
35.7, 100
39.0, 94
39.2, 40
41.2, 26
47.5, 37

Cell and atoms:
```
HfAsRu
1.0
-3.8264 5.7564 3.3516
3.8264 -5.7564 3.3516
3.8264 5.7564 -3.3516
Hf As Ru
6 6 6
direct
0.0014 0.2500 0.2514
0.1413 0.1087 0.5326
0.1798 0.6277 0.0522
0.5755 0.1277 0.9478
0.5761 0.6087 0.4674
0.9986 0.7500 0.7486
0.2458 0.0745 0.1614
0.2458 0.5844 0.6713
0.5564 0.3331 0.7233
0.6098 0.8331 0.2767
0.9131 0.0844 0.8386
0.9131 0.5745 0.3287
0.3347 0.3347 0.0000
0.3347 0.8347 0.5000
0.5809 0.1754 0.3497
0.5809 0.7312 0.9055
0.8257 0.2312 0.6503
0.8257 0.6754 0.0945
```

=====

[7]
Ge3Te2Se: theoretical powder diffractogram (λ = 1.5418 Å (Cu Kα)), based on DFT lattice parameters and positions (GGA-PBE).
No peak broadening, texture or thermal motion is included.

Most intense lines, 10 to 90 degrees two-theta, low angle first:
2theta, I/Imax
30.3, 100
43.4, 73
53.9, 19
71.6, 16
71.7, 16
79.7, 18

Cell and atoms:
```
Ge3Te2Se
1.0
4.1641 0.0000 0.0000
-2.0821 3.6062 0.0000
0.0000 0.0000 10.2241
Ge Te Se
3 2 1
direct
0.0000 0.0000 0.0000
0.3333 0.6667 0.6561
0.6667 0.3333 0.3439
0.3333 0.6667 0.1701
0.6667 0.3333 0.8299
0.0000 0.0000 0.5000
```